# 1
Structure and simulated powder X-ray diffraction pattern of K2CuCl3F (a crystal structure in Alexandria, relaxed with PBE; Cu Kα X-rays).
Kinematic intensities with the Lorentz-polarization factor, no thermal factor.

Top 8 peaks for 5° ≤ 2θ ≤ 70°, by angle:
two_theta, I/Imax
11.23, 100
21.68, 37
27.90, 98
34.13, 56
36.18, 43
36.98, 61
42.60, 39
51.20, 30

Structural model:
```
data_K2CuCl3F
_chemical_formula_sum 'K2 Cu1 Cl3 F1'
_cell_length_a 8.515
_cell_length_b 8.515
_cell_length_c 8.515
_cell_angle_alpha 151.14
_cell_angle_beta 146.83
_cell_angle_gamma 44.54
_symmetry_space_group_name_H-M 'P 1'
_symmetry_Int_Tables_number 1
loop_
_symmetry_equiv_pos_as_xyz
'x,y,z'
loop_
_atom_site_label
_atom_site_fract_x
_atom_site_fract_y
_atom_site_fract_z
K1 0.141 0.141 0.000
K2 0.859 0.859 0.000
Cu1 0.500 0.500 0.000
Cl1 0.000 0.500 0.500
Cl2 0.346 0.346 0.000
Cl3 0.654 0.654 0.000
F1 0.500 0.000 0.500
```

=====

# 2
Structure and simulated powder X-ray diffraction pattern of K2CuCl2F2 (a crystal structure in Alexandria, relaxed with PBE; Cu Kα X-rays).
Kinematic intensities with the Lorentz-polarization factor, no thermal factor.

Top 8 peaks for 5° ≤ 2θ ≤ 70°, by angle:
two_theta, I/Imax
13.90, 84
18.99, 29
25.07, 54
27.50, 72
35.75, 100
45.68, 34
51.45, 31
56.76, 38

Structural model:
```
data_K2CuCl2F2
_chemical_formula_sum 'K2 Cu1 Cl2 F2'
_cell_length_a 7.296
_cell_length_b 7.296
_cell_length_c 7.296
_cell_angle_alpha 139.73
_cell_angle_beta 139.73
_cell_angle_gamma 58.27
_symmetry_space_group_name_H-M 'P 1'
_symmetry_Int_Tables_number 1
loop_
_symmetry_equiv_pos_as_xyz
'x,y,z'
loop_
_atom_site_label
_atom_site_fract_x
_atom_site_fract_y
_atom_site_fract_z
K1 0.152 0.152 0.000
K2 0.848 0.848 0.000
Cu1 0.500 0.500 0.000
Cl1 0.000 0.500 0.500
Cl2 0.500 0.000 0.500
F1 0.349 0.349 0.000
F2 0.651 0.651 0.000
```

=====

# 3
Structure and simulated powder X-ray diffraction pattern of PaCu2Cl2F6 (a crystal structure in Alexandria, relaxed with PBE; Cu Kα X-rays).
Kinematic intensities with the Lorentz-polarization factor, no thermal factor.

Top 8 peaks for 5° ≤ 2θ ≤ 70°, by angle:
two_theta, I/Imax
11.53, 16
21.04, 100
29.21, 27
30.62, 32
37.45, 16
42.83, 15
47.23, 23
49.13, 22

Structural model:
```
data_PaCu2Cl2F6
_chemical_formula_sum 'Pa1 Cu2 Cl2 F6'
_cell_length_a 5.839
_cell_length_b 5.839
_cell_length_c 7.677
_cell_angle_alpha 90.00
_cell_angle_beta 90.00
_cell_angle_gamma 120.00
_symmetry_space_group_name_H-M 'P 1'
_symmetry_Int_Tables_number 1
loop_
_symmetry_equiv_pos_as_xyz
'x,y,z'
loop_
_atom_site_label
_atom_site_fract_x
_atom_site_fract_y
_atom_site_fract_z
Pa1 0.000 0.000 0.000
Cu1 0.333 0.667 0.660
Cu2 0.667 0.333 0.340
Cl1 0.333 0.667 0.385
Cl2 0.667 0.333 0.615
F1 0.172 0.344 0.842
F2 0.172 0.828 0.842
F3 0.344 0.172 0.158
F4 0.656 0.828 0.842
F5 0.828 0.172 0.158
F6 0.828 0.656 0.158
```

=====

# 4
Structure and simulated powder X-ray diffraction pattern of Rb2CuClF3 (a crystal structure in Alexandria, relaxed with PBE; Cu Kα X-rays).
Kinematic intensities with the Lorentz-polarization factor, no thermal factor.

Top 8 peaks for 5° ≤ 2θ ≤ 70°, by angle:
two_theta, I/Imax
26.93, 73
27.85, 100
28.05, 91
38.16, 81
38.75, 38
41.38, 37
48.03, 41
48.39, 33

Structural model:
```
data_Rb2CuClF3
_chemical_formula_sum 'Rb2 Cu1 Cl1 F3'
_cell_length_a 7.676
_cell_length_b 7.676
_cell_length_c 7.676
_cell_angle_alpha 146.97
_cell_angle_beta 144.22
_cell_angle_gamma 49.49
_symmetry_space_group_name_H-M 'P 1'
_symmetry_Int_Tables_number 1
loop_
_symmetry_equiv_pos_as_xyz
'x,y,z'
loop_
_atom_site_label
_atom_site_fract_x
_atom_site_fract_y
_atom_site_fract_z
Rb1 0.156 0.156 0.000
Rb2 0.844 0.844 0.000
Cu1 0.500 0.500 0.000
Cl1 0.000 0.500 0.500
F1 0.356 0.356 0.000
F2 0.500 0.000 0.500
F3 0.644 0.644 0.000
```

=====

# 5
Structure and simulated powder X-ray diffraction pattern of TlCu2ClF2 (a crystal structure in Alexandria, relaxed with PBE; Cu Kα X-rays).
Kinematic intensities with the Lorentz-polarization factor, no thermal factor.

Top 8 peaks for 5° ≤ 2θ ≤ 70°, by angle:
two_theta, I/Imax
20.83, 46
22.16, 56
23.73, 91
29.67, 100
35.20, 52
35.52, 37
37.79, 47
50.99, 30

Structural model:
```
data_TlCu2ClF2
_chemical_formula_sum 'Tl2 Cu4 Cl2 F4'
_cell_length_a 6.043
_cell_length_b 5.226
_cell_length_c 7.721
_cell_angle_alpha 90.00
_cell_angle_beta 107.12
_cell_angle_gamma 90.00
_symmetry_space_group_name_H-M 'P 1'
_symmetry_Int_Tables_number 1
loop_
_symmetry_equiv_pos_as_xyz
'x,y,z'
loop_
_atom_site_label
_atom_site_fract_x
_atom_site_fract_y
_atom_site_fract_z
Tl1 0.137 0.250 0.370
Tl2 0.863 0.750 0.630
Cu1 0.470 0.001 0.827
Cu2 0.470 0.499 0.827
Cu3 0.530 0.501 0.173
Cu4 0.530 0.999 0.173
Cl1 0.233 0.750 0.053
Cl2 0.767 0.250 0.947
F1 0.164 0.250 0.703
F2 0.320 0.750 0.635
F3 0.680 0.250 0.365
F4 0.836 0.750 0.297
```

=====

# 6
Structure and simulated powder X-ray diffraction pattern of FeCu2Cl6 (a crystal structure in Alexandria, relaxed with PBE; Cu Kα X-rays).
Kinematic intensities with the Lorentz-polarization factor, no thermal factor.

Top 8 peaks for 5° ≤ 2θ ≤ 70°, by angle:
two_theta, I/Imax
14.44, 25
15.29, 84
19.79, 100
28.32, 49
28.83, 18
29.13, 25
29.61, 44
51.03, 15

Structural model:
```
data_FeCu2Cl6
_chemical_formula_sum 'Fe2 Cu4 Cl12'
_cell_length_a 9.483
_cell_length_b 9.483
_cell_length_c 6.462
_cell_angle_alpha 108.47
_cell_angle_beta 108.47
_cell_angle_gamma 87.83
_symmetry_space_group_name_H-M 'P 1'
_symmetry_Int_Tables_number 1
loop_
_symmetry_equiv_pos_as_xyz
'x,y,z'
loop_
_atom_site_label
_atom_site_fract_x
_atom_site_fract_y
_atom_site_fract_z
Fe1 0.231 0.769 0.750
Fe2 0.769 0.231 0.250
Cu1 0.200 0.333 0.597
Cu2 0.333 0.200 0.097
Cu3 0.667 0.800 0.903
Cu4 0.800 0.667 0.403
Cl1 0.036 0.767 0.447
Cl2 0.195 0.363 0.266
Cl3 0.226 0.571 0.866
Cl4 0.233 0.964 0.053
Cl5 0.363 0.195 0.766
Cl6 0.429 0.774 0.634
Cl7 0.571 0.226 0.366
Cl8 0.637 0.805 0.234
Cl9 0.767 0.036 0.947
Cl10 0.774 0.429 0.134
Cl11 0.805 0.637 0.734
Cl12 0.964 0.233 0.553
```

=====

# 7
Structure and simulated powder X-ray diffraction pattern of K2FeCuCl6 (a crystal structure in Alexandria, relaxed with PBE; Cu Kα X-rays).
Kinematic intensities with the Lorentz-polarization factor, no thermal factor.

Top 8 peaks for 5° ≤ 2θ ≤ 70°, by angle:
two_theta, I/Imax
18.68, 51
25.10, 72
26.53, 52
31.47, 47
33.59, 85
37.88, 100
45.98, 50
51.51, 68

Structural model:
```
data_K2FeCuCl6
_chemical_formula_sum 'K2 Fe1 Cu1 Cl6'
_cell_length_a 7.144
_cell_length_b 7.144
_cell_length_c 7.144
_cell_angle_alpha 123.90
_cell_angle_beta 123.90
_cell_angle_gamma 83.37
_symmetry_space_group_name_H-M 'P 1'
_symmetry_Int_Tables_number 1
loop_
_symmetry_equiv_pos_as_xyz
'x,y,z'
loop_
_atom_site_label
_atom_site_fract_x
_atom_site_fract_y
_atom_site_fract_z
K1 0.000 0.500 0.500
K2 0.500 0.000 0.500
Fe1 0.250 0.250 0.000
Cu1 0.747 0.747 0.000
Cl1 0.027 0.027 0.000
Cl2 0.045 0.555 0.099
Cl3 0.456 0.946 0.901
Cl4 0.474 0.474 0.000
Cl5 0.555 0.456 0.510
Cl6 0.946 0.045 0.490
```

=====

# 8
Structure and simulated powder X-ray diffraction pattern of RbFe2CuCl8 (a crystal structure in Alexandria, relaxed with PBE; Cu Kα X-rays).
Kinematic intensities with the Lorentz-polarization factor, no thermal factor.

Top 8 peaks for 5° ≤ 2θ ≤ 70°, by angle:
two_theta, I/Imax
17.40, 72
23.10, 100
24.66, 63
25.12, 86
29.04, 77
31.04, 76
31.17, 68
49.92, 62

Structural model:
```
data_RbFe2CuCl8
_chemical_formula_sum 'Rb1 Fe2 Cu1 Cl8'
_cell_length_a 6.291
_cell_length_b 6.291
_cell_length_c 9.563
_cell_angle_alpha 96.87
_cell_angle_beta 96.87
_cell_angle_gamma 70.03
_symmetry_space_group_name_H-M 'P 1'
_symmetry_Int_Tables_number 1
loop_
_symmetry_equiv_pos_as_xyz
'x,y,z'
loop_
_atom_site_label
_atom_site_fract_x
_atom_site_fract_y
_atom_site_fract_z
Rb1 0.000 0.000 0.000
Fe1 0.385 0.385 0.709
Fe2 0.615 0.615 0.291
Cu1 0.000 0.000 0.500
Cl1 0.230 0.230 0.520
Cl2 0.240 0.740 0.301
Cl3 0.260 0.760 0.699
Cl4 0.312 0.312 0.915
Cl5 0.688 0.688 0.085
Cl6 0.740 0.240 0.301
Cl7 0.760 0.260 0.699
Cl8 0.770 0.770 0.480
```

=====

# 9
Structure and simulated powder X-ray diffraction pattern of GaCuCl4 (a crystal structure in Alexandria, relaxed with PBE; Cu Kα X-rays).
Kinematic intensities with the Lorentz-polarization factor, no thermal factor.

Top 8 peaks for 5° ≤ 2θ ≤ 70°, by angle:
two_theta, I/Imax
15.64, 27
17.97, 59
23.66, 19
28.49, 100
44.85, 11
45.27, 24
48.42, 40
54.36, 26

Structural model:
```
data_GaCuCl4
_chemical_formula_sum 'Ga2 Cu2 Cl8'
_cell_length_a 5.665
_cell_length_b 5.665
_cell_length_c 10.054
_cell_angle_alpha 90.00
_cell_angle_beta 90.00
_cell_angle_gamma 90.00
_symmetry_space_group_name_H-M 'P 1'
_symmetry_Int_Tables_number 1
loop_
_symmetry_equiv_pos_as_xyz
'x,y,z'
loop_
_atom_site_label
_atom_site_fract_x
_atom_site_fract_y
_atom_site_fract_z
Ga1 0.000 0.500 0.250
Ga2 0.500 0.000 0.750
Cu1 0.000 0.000 0.000
Cu2 0.000 0.000 0.500
Cl1 0.224 0.270 0.124
Cl2 0.224 0.730 0.376
Cl3 0.270 0.224 0.624
Cl4 0.270 0.776 0.876
Cl5 0.730 0.224 0.876
Cl6 0.730 0.776 0.624
Cl7 0.776 0.270 0.376
Cl8 0.776 0.730 0.124
```

=====

# 10
Structure and simulated powder X-ray diffraction pattern of GaCu2Cl (a crystal structure in Alexandria, relaxed with PBE; Cu Kα X-rays).
Kinematic intensities with the Lorentz-polarization factor, no thermal factor.

Top 8 peaks for 5° ≤ 2θ ≤ 70°, by angle:
two_theta, I/Imax
18.20, 6
30.48, 100
34.29, 4
41.20, 42
52.11, 41
55.18, 34
59.68, 13
68.49, 8

Structural model:
```
data_GaCu2Cl
_chemical_formula_sum 'Ga2 Cu4 Cl2'
_cell_length_a 5.898
_cell_length_b 5.898
_cell_length_c 5.898
_cell_angle_alpha 116.61
_cell_angle_beta 116.61
_cell_angle_gamma 95.98
_symmetry_space_group_name_H-M 'P 1'
_symmetry_Int_Tables_number 1
loop_
_symmetry_equiv_pos_as_xyz
'x,y,z'
loop_
_atom_site_label
_atom_site_fract_x
_atom_site_fract_y
_atom_site_fract_z
Ga1 0.000 0.000 0.000
Ga2 0.750 0.250 0.500
Cu1 0.129 0.125 0.504
Cu2 0.375 0.871 0.996
Cu3 0.621 0.625 0.496
Cu4 0.875 0.379 0.004
Cl1 0.250 0.750 0.500
Cl2 0.500 0.500 0.000
```

=====

# 11
Structure and simulated powder X-ray diffraction pattern of Ga6CuSb7Te8Cl24 (a crystal structure in Alexandria, relaxed with PBE; Cu Kα X-rays).
Kinematic intensities with the Lorentz-polarization factor, no thermal factor.

Top 8 peaks for 5° ≤ 2θ ≤ 70°, by angle:
two_theta, I/Imax
8.08, 100
8.43, 54
11.36, 23
24.77, 21
28.24, 20
29.53, 20
29.78, 29
30.62, 28

Structural model:
```
data_Ga6CuSb7Te8Cl24
_chemical_formula_sum 'Ga6 Cu1 Sb7 Te8 Cl24'
_cell_length_a 11.704
_cell_length_b 12.771
_cell_length_c 13.190
_cell_angle_alpha 115.45
_cell_angle_beta 106.59
_cell_angle_gamma 100.60
_symmetry_space_group_name_H-M 'P 1'
_symmetry_Int_Tables_number 1
loop_
_symmetry_equiv_pos_as_xyz
'x,y,z'
loop_
_atom_site_label
_atom_site_fract_x
_atom_site_fract_y
_atom_site_fract_z
Ga1 0.061 0.239 0.337
Ga2 0.061 0.291 0.885
Ga3 0.402 0.699 0.797
Ga4 0.598 0.301 0.203
Ga5 0.939 0.709 0.115
Ga6 0.939 0.761 0.663
Cu1 0.000 0.500 0.500
Sb1 0.303 0.701 0.148
Sb2 0.349 0.048 0.757
Sb3 0.353 0.274 0.614
Sb4 0.500 0.000 0.500
Sb5 0.647 0.726 0.386
Sb6 0.651 0.952 0.243
Sb7 0.697 0.299 0.852
Te1 0.243 0.007 0.508
Te2 0.397 0.717 0.386
Te3 0.408 0.966 0.241
Te4 0.456 0.316 0.867
Te5 0.544 0.684 0.133
Te6 0.592 0.034 0.759
Te7 0.603 0.283 0.614
Te8 0.757 0.993 0.492
Cl1 0.038 0.608 0.185
Cl2 0.039 0.252 0.501
Cl3 0.066 0.811 0.068
Cl4 0.073 0.431 0.361
Cl5 0.091 0.905 0.836
Cl6 0.109 0.163 0.740
Cl7 0.245 0.417 0.048
Cl8 0.251 0.226 0.350
Cl9 0.270 0.620 0.858
Cl10 0.299 0.753 0.668
Cl11 0.436 0.136 0.044
Cl12 0.476 0.559 0.697
Cl13 0.524 0.441 0.303
Cl14 0.564 0.864 0.956
Cl15 0.701 0.247 0.332
Cl16 0.730 0.380 0.142
Cl17 0.749 0.774 0.650
Cl18 0.755 0.583 0.952
Cl19 0.891 0.837 0.260
Cl20 0.909 0.095 0.164
Cl21 0.927 0.569 0.639
Cl22 0.934 0.189 0.932
Cl23 0.961 0.748 0.499
Cl24 0.962 0.392 0.815
```

=====

# 12
Structure and simulated powder X-ray diffraction pattern of ScGaCuCl (a crystal structure in Alexandria, relaxed with PBE; Cu Kα X-rays).
Kinematic intensities with the Lorentz-polarization factor, no thermal factor.

Top 8 peaks for 5° ≤ 2θ ≤ 70°, by angle:
two_theta, I/Imax
12.52, 64
25.19, 16
28.62, 14
33.87, 54
39.87, 79
41.95, 15
42.68, 100
57.66, 25

Structural model:
```
data_ScGaCuCl
_chemical_formula_sum 'Sc1 Ga1 Cu1 Cl1'
_cell_length_a 7.424
_cell_length_b 7.424
_cell_length_c 7.424
_cell_angle_alpha 155.13
_cell_angle_beta 155.13
_cell_angle_gamma 35.46
_symmetry_space_group_name_H-M 'P 1'
_symmetry_Int_Tables_number 1
loop_
_symmetry_equiv_pos_as_xyz
'x,y,z'
loop_
_atom_site_label
_atom_site_fract_x
_atom_site_fract_y
_atom_site_fract_z
Sc1 0.000 0.000 0.000
Ga1 0.628 0.628 0.000
Cu1 0.210 0.210 0.000
Cl1 0.382 0.382 0.000
```

=====

# 13
Structure and simulated powder X-ray diffraction pattern of ScGaCuCl (a crystal structure in Alexandria, relaxed with PBE; Cu Kα X-rays).
Kinematic intensities with the Lorentz-polarization factor, no thermal factor.

Top 8 peaks for 5° ≤ 2θ ≤ 70°, by angle:
two_theta, I/Imax
13.40, 100
20.51, 30
27.92, 39
31.09, 35
37.48, 36
37.59, 38
39.22, 31
41.72, 35

Structural model:
```
data_ScGaCuCl
_chemical_formula_sum 'Sc1 Ga1 Cu1 Cl1'
_cell_length_a 4.330
_cell_length_b 3.195
_cell_length_c 6.609
_cell_angle_alpha 90.00
_cell_angle_beta 90.38
_cell_angle_gamma 90.00
_symmetry_space_group_name_H-M 'P 1'
_symmetry_Int_Tables_number 1
loop_
_symmetry_equiv_pos_as_xyz
'x,y,z'
loop_
_atom_site_label
_atom_site_fract_x
_atom_site_fract_y
_atom_site_fract_z
Sc1 0.000 0.000 0.000
Ga1 0.499 0.500 0.839
Cu1 0.996 0.500 0.658
Cl1 0.006 0.500 0.301
```